Starting from a crystal structure in the Materials Project, relaxed with PBE, the powder diffraction line list of CsZn4P3 was calculated for Cu Kα (weighted mean of Kα1 and Kα2).
Lines closer than 0.1° are merged.

Atomic structure:
```
data_CsZn4P3
_chemical_formula_sum 'Cs1 Zn4 P3'
_cell_length_a 4.101
_cell_length_b 4.101
_cell_length_c 10.410
_cell_angle_alpha 90.00
_cell_angle_beta 90.00
_cell_angle_gamma 90.00
_space_group_name_H-M_alt 'P 4/m m m'
_space_group_IT_number 123
_space_group_name_Hall '-P 4 2'
loop_
_atom_site_label
_atom_site_fract_x
_atom_site_fract_y
_atom_site_fract_z
Cs1 0.000 0.000 0.000
Zn1 0.000 0.500 0.347
P1 0.000 0.000 0.500
P2 0.500 0.500 0.224
```

Principal peaks in the range 5 to 70 degrees two-theta, low angle first:
8.5°, d = 10.410 Å, intensity 23, hkl 0 0 1; 23.3°, d = 3.816 Å, intensity 23, hkl 1 0 1; 25.7°, d = 3.470 Å, intensity 71, hkl 0 0 3; 27.7°, d = 3.221 Å, intensity 96, hkl 1 0 2; 32.0°, d = 2.794 Å, intensity 100, hkl 1 1 1; 35.4°, d = 2.533 Å, intensity 41, hkl 1 1 2; 40.5°, d = 2.225 Å, intensity 30, hkl 1 1 3; 44.2°, d = 2.051 Å, intensity 69, hkl 2 0 0; 46.9°, d = 1.937 Å, intensity 82, hkl 1 1 4; 51.8°, d = 1.765 Å, intensity 41, hkl 2 0 3; 52.9°, d = 1.730 Å, intensity 29, hkl 2 1 2; 64.2°, d = 1.450 Å, intensity 22, hkl 2 2 0

---

Starting from a crystal structure in the Materials Project, relaxed with PBE, the powder diffraction line list of LaY2C6 was calculated for Cu Kα (weighted mean of Kα1 and Kα2).
Lines closer than 0.1° are merged.

Atomic structure:
```
data_LaY2C6
_chemical_formula_sum 'La2 Y4 C12'
_cell_length_a 7.384
_cell_length_b 3.745
_cell_length_c 9.922
_cell_angle_alpha 90.00
_cell_angle_beta 98.54
_cell_angle_gamma 90.00
_space_group_name_H-M_alt 'C 1 2/m 1'
_space_group_IT_number 12
loop_
_space_group_symop_operation_xyz
'x,y,z'
'-x,-y,-z'
'-x,y,-z'
'x,-y,z'
'x+1/2,y+1/2,z'
'-x+1/2,-y+1/2,-z'
'-x+1/2,y+1/2,-z'
'x+1/2,-y+1/2,z'
loop_
_atom_site_label
_atom_site_fract_x
_atom_site_fract_y
_atom_site_fract_z
La1 0.000 0.000 0.000
Y1 0.169 0.500 0.664
C1 0.070 0.000 0.468
C2 0.098 0.500 0.218
C3 0.235 0.500 0.149
```

Principal peaks in the range 5 to 70 degrees two-theta, low angle first:
27.3°, d = 3.269 Å, intensity 82, hkl 0 0 3; 27.7°, d = 3.222 Å, intensity 78, hkl 1 1 -1; 28.2°, d = 3.162 Å, intensity 61, hkl 2 0 -2; 33.5°, d = 2.673 Å, intensity 100, hkl 1 1 2; 44.4°, d = 2.042 Å, intensity 69, hkl 3 1 0; 47.6°, d = 1.909 Å, intensity 17, hkl 2 0 4; 48.6°, d = 1.872 Å, intensity 16, hkl 0 2 0; 49.4°, d = 1.846 Å, intensity 25, hkl 4 0 -1; 49.6°, d = 1.837 Å, intensity 25, hkl 3 1 -3; 56.0°, d = 1.642 Å, intensity 24, hkl 1 1 5; 56.3°, d = 1.634 Å, intensity 17, hkl 4 0 2; 56.7°, d = 1.625 Å, intensity 23, hkl 0 2 3

---

Starting from a crystal structure in the Materials Project, relaxed with PBE, the powder diffraction line list of CeGe3Ru was calculated for Cu Kα (weighted mean of Kα1 and Kα2).
Lines closer than 0.1° are merged.

Atomic structure:
```
data_CeGe3Ru
_chemical_formula_sum 'Ce8 Ge24 Ru8'
_cell_length_a 9.070
_cell_length_b 9.070
_cell_length_c 9.070
_cell_angle_alpha 90.00
_cell_angle_beta 90.00
_cell_angle_gamma 90.00
_space_group_name_H-M_alt 'P m -3 n'
_space_group_IT_number 223
_space_group_name_Hall '-P 4n 2 3'
loop_
_atom_site_label
_atom_site_fract_x
_atom_site_fract_y
_atom_site_fract_z
Ce1 0.000 0.000 0.000
Ce2 0.000 0.250 0.500
Ge1 0.000 0.326 0.153
Ru1 0.250 0.250 0.250
```

Principal peaks in the range 5 to 70 degrees two-theta, low angle first:
24.0°, d = 3.703 Å, intensity 11, hkl 2 1 1; 34.2°, d = 2.618 Å, intensity 18, hkl 2 2 2; 35.7°, d = 2.515 Å, intensity 100, hkl 3 2 0; 37.1°, d = 2.424 Å, intensity 62, hkl 3 2 1; 39.8°, d = 2.267 Å, intensity 29, hkl 4 0 0; 41.0°, d = 2.200 Å, intensity 11, hkl 4 1 0; 44.7°, d = 2.028 Å, intensity 12, hkl 4 2 0; 49.2°, d = 1.851 Å, intensity 29, hkl 4 2 2; 50.3°, d = 1.814 Å, intensity 10, hkl 4 3 0; 57.5°, d = 1.603 Å, intensity 11, hkl 4 4 0; 63.2°, d = 1.471 Å, intensity 16, hkl 5 3 2; 68.6°, d = 1.367 Å, intensity 20, hkl 6 2 2